1.
The following is a computed XRD peak list of Li2C. It was derived from a crystal structure in the Materials Project, relaxed with GGA-PBE, using CuKα.
Peak positions follow from Bragg's law for the DFT cell and can differ from measured ones.

Most intense lines, 15° ≤ 2θ ≤ 90°, by angle:
- d 2.997, I = 97.6
- d 1.835, I = 100.0
- d 1.565, I = 21.5
- d 1.298, I = 13.4
- d 1.191, I = 7.4
- d 1.161, I = 0.5

Crystal structure
abc: 5.192 5.192 5.192
angles: 90.00 90.00 90.00
Fractional positions:
Li1 0.250 0.250 0.250
Li2 0.250 0.250 0.750
Li3 0.250 0.750 0.250
Li4 0.250 0.750 0.750
Li5 0.750 0.250 0.250
Li6 0.750 0.250 0.750
Li7 0.750 0.750 0.250
Li8 0.750 0.750 0.750
C1 0.000 0.000 0.000
C2 0.000 0.500 0.500
C3 0.500 0.000 0.500
C4 0.500 0.500 0.000

=====

2.
The following is a computed XRD peak list of Li2LuPCO7. It was derived from a crystal structure in the Materials Project, relaxed with GGA-PBE, using CuKα.
Peak positions follow from Bragg's law for the DFT cell and can differ from measured ones.

Most intense lines, 15° ≤ 2θ ≤ 90°, by angle:
- d 5.364, I = 79.3
- d 4.353, I = 37.0
- d 4.226, I = 32.4
- d 3.951, I = 61.0
- d 3.717, I = 20.8
- d 3.355, I = 100.0
- d 3.240, I = 27.4
- d 2.657, I = 18.5
- d 2.444, I = 18.0
- d 2.346, I = 18.9

Crystal structure
abc: 4.891 6.709 8.935
angles: 90.00 92.01 90.00
Fractional positions:
Li1 0.208 0.008 0.294
Li2 0.208 0.492 0.294
Li3 0.792 0.508 0.706
Li4 0.792 0.992 0.706
Lu1 0.248 0.250 0.859
Lu2 0.752 0.750 0.141
P1 0.279 0.750 0.912
P2 0.721 0.250 0.088
C1 0.258 0.250 0.558
C2 0.742 0.750 0.442
O1 0.022 0.250 0.624
O2 0.157 0.563 0.835
O3 0.157 0.937 0.835
O4 0.219 0.750 0.084
O5 0.280 0.250 0.417
O6 0.403 0.250 0.094
O7 0.474 0.250 0.652
O8 0.526 0.750 0.348
O9 0.597 0.750 0.906
O10 0.720 0.750 0.583
O11 0.781 0.250 0.916
O12 0.843 0.063 0.165
O13 0.843 0.437 0.165
O14 0.978 0.750 0.376

=====

3.
The following is a computed XRD peak list of LiMg14C. It was derived from a crystal structure in the Materials Project, relaxed with GGA-PBE, using CuKα.
Peak positions follow from Bragg's law for the DFT cell and can differ from measured ones.

Most intense lines, 15° ≤ 2θ ≤ 90°, by angle:
- d 3.656, I = 5.8
- d 2.714, I = 25.4
- d 2.474, I = 24.2
- d 2.380, I = 100.0
- d 1.828, I = 14.1
- d 1.567, I = 16.9
- d 1.409, I = 15.8
- d 1.324, I = 17.5
- d 1.309, I = 13.0
- d 1.190, I = 3.0

Crystal structure
abc: 6.268 6.268 9.894
angles: 90.00 90.00 120.00
Fractional positions:
Li1 0.000 0.000 0.000
Mg1 0.007 0.503 0.000
Mg2 0.159 0.319 0.264
Mg3 0.159 0.319 0.736
Mg4 0.159 0.841 0.264
Mg5 0.159 0.841 0.736
Mg6 0.497 0.503 0.000
Mg7 0.497 0.993 0.000
Mg8 0.503 0.007 0.500
Mg9 0.503 0.497 0.500
Mg10 0.667 0.333 0.245
Mg11 0.667 0.333 0.755
Mg12 0.681 0.841 0.264
Mg13 0.681 0.841 0.736
Mg14 0.993 0.497 0.500
C1 0.000 0.000 0.500

=====

4.
The following is a computed XRD peak list of LiMg14C. It was derived from a crystal structure in the Materials Project, relaxed with GGA-PBE, using CuKα.
Peak positions follow from Bragg's law for the DFT cell and can differ from measured ones.

Most intense lines, 15° ≤ 2θ ≤ 90°, by angle:
- d 2.787, I = 11.2
- d 2.759, I = 16.5
- d 2.702, I = 19.2
- d 2.440, I = 26.6
- d 2.402, I = 100.0
- d 2.364, I = 27.7
- d 1.604, I = 8.7
- d 1.571, I = 10.5
- d 1.401, I = 9.3
- d 1.321, I = 7.9

Crystal structure
abc: 9.761 6.284 6.284
angles: 61.40 90.00 90.00
Fractional positions:
Li1 0.000 0.000 0.000
Mg1 0.000 0.473 0.949
Mg2 0.000 0.949 0.473
Mg3 0.208 0.203 0.667
Mg4 0.208 0.667 0.203
Mg5 0.248 0.678 0.678
Mg6 0.255 0.177 0.177
Mg7 0.500 0.004 0.004
Mg8 0.500 0.010 0.516
Mg9 0.500 0.506 0.506
Mg10 0.500 0.516 0.010
Mg11 0.745 0.177 0.177
Mg12 0.752 0.678 0.678
Mg13 0.792 0.203 0.667
Mg14 0.792 0.667 0.203
C1 0.000 0.549 0.549

=====

5.
The following is a computed XRD peak list of LiMg6CO8. It was derived from a crystal structure in the Materials Project, relaxed with GGA-PBE, using CuKα.
Peak positions follow from Bragg's law for the DFT cell and can differ from measured ones.

Most intense lines, 15° ≤ 2θ ≤ 90°, by angle:
- d 4.230, I = 4.2
- d 2.820, I = 6.2
- d 2.782, I = 8.3
- d 2.417, I = 5.5
- d 2.115, I = 49.7
- d 2.083, I = 100.0
- d 1.675, I = 5.1
- d 1.484, I = 52.8
- d 1.473, I = 27.1
- d 1.209, I = 24.2

Crystal structure
abc: 4.165 4.165 8.461
angles: 90.00 90.00 90.00
Fractional positions:
Li1 0.000 0.000 0.000
Mg1 0.000 0.000 0.500
Mg2 0.000 0.500 0.239
Mg3 0.000 0.500 0.761
Mg4 0.500 0.000 0.239
Mg5 0.500 0.000 0.761
Mg6 0.500 0.500 0.500
C1 0.500 0.500 0.000
O1 0.000 0.000 0.255
O2 0.000 0.000 0.745
O3 0.000 0.500 0.000
O4 0.000 0.500 0.500
O5 0.500 0.000 0.000
O6 0.500 0.000 0.500
O7 0.500 0.500 0.228
O8 0.500 0.500 0.772

=====

6.
The following is a computed XRD peak list of LiMg6CO8. It was derived from a crystal structure in the Materials Project, relaxed with GGA-PBE, using CuKα.
Peak positions follow from Bragg's law for the DFT cell and can differ from measured ones.

Most intense lines, 15° ≤ 2θ ≤ 90°, by angle:
- d 4.221, I = 9.2
- d 2.956, I = 5.6
- d 2.421, I = 6.5
- d 2.111, I = 100.0
- d 2.070, I = 41.5
- d 1.859, I = 4.3
- d 1.492, I = 27.3
- d 1.478, I = 47.1
- d 1.271, I = 4.1
- d 1.211, I = 21.4

Crystal structure
abc: 4.221 4.221 8.281
angles: 90.00 90.00 90.00
Fractional positions:
Li1 0.000 0.000 0.000
Mg1 0.000 0.500 0.248
Mg2 0.000 0.500 0.752
Mg3 0.500 0.000 0.248
Mg4 0.500 0.000 0.752
Mg5 0.500 0.500 0.000
Mg6 0.500 0.500 0.500
C1 0.000 0.000 0.500
O1 0.000 0.000 0.293
O2 0.000 0.000 0.707
O3 0.000 0.500 0.000
O4 0.000 0.500 0.500
O5 0.500 0.000 0.000
O6 0.500 0.000 0.500
O7 0.500 0.500 0.253
O8 0.500 0.500 0.747

=====

7.
The following is a computed XRD peak list of Li3CN2. It was derived from a crystal structure in the Materials Project, relaxed with GGA-PBE, using CuKα.
Peak positions follow from Bragg's law for the DFT cell and can differ from measured ones.

Most intense lines, 15° ≤ 2θ ≤ 90°, by angle:
- d 4.660, I = 33.1
- d 3.852, I = 20.5
- d 3.260, I = 56.5
- d 3.006, I = 23.9
- d 2.942, I = 44.5
- d 2.878, I = 68.8
- d 2.758, I = 100.0
- d 2.046, I = 21.5
- d 2.021, I = 21.3
- d 1.906, I = 24.4

Crystal structure
abc: 5.041 6.827 6.857
angles: 90.00 112.24 90.00
Fractional positions:
Li1 0.246 0.197 0.177
Li2 0.246 0.303 0.677
Li3 0.252 0.515 0.372
Li4 0.252 0.985 0.872
Li5 0.253 0.526 0.997
Li6 0.253 0.974 0.497
Li7 0.747 0.026 0.503
Li8 0.747 0.474 0.003
Li9 0.748 0.015 0.128
Li10 0.748 0.485 0.628
Li11 0.754 0.697 0.323
Li12 0.754 0.803 0.823
C1 0.160 0.638 0.632
C2 0.160 0.862 0.132
C3 0.840 0.138 0.868
C4 0.840 0.362 0.368
N1 0.001 0.710 0.129
N2 0.001 0.790 0.629
N3 0.426 0.576 0.721
N4 0.426 0.924 0.221
N5 0.574 0.076 0.779
N6 0.574 0.424 0.279
N7 0.999 0.210 0.371
N8 0.999 0.290 0.871

=====

8.
The following is a computed XRD peak list of LiC2N3. It was derived from a crystal structure in the Materials Project, relaxed with GGA-PBE, using CuKα.
Peak positions follow from Bragg's law for the DFT cell and can differ from measured ones.

Most intense lines, 15° ≤ 2θ ≤ 90°, by angle:
- d 4.841, I = 26.5
- d 4.365, I = 17.5
- d 3.717, I = 18.6
- d 3.580, I = 36.2
- d 3.427, I = 55.8
- d 3.374, I = 91.7
- d 3.146, I = 52.0
- d 2.970, I = 64.9
- d 2.928, I = 100.0
- d 2.912, I = 75.7

Crystal structure
abc: 5.370 5.316 11.944
angles: 90.00 101.34 90.00
Fractional positions:
Li1 0.000 0.000 0.000
Li2 0.000 0.000 0.500
Li3 0.000 0.087 0.250
Li4 0.000 0.913 0.750
C1 0.241 0.497 0.117
C2 0.241 0.503 0.617
C3 0.456 0.202 0.890
C4 0.456 0.798 0.390
C5 0.544 0.202 0.610
C6 0.544 0.798 0.110
C7 0.759 0.497 0.383
C8 0.759 0.503 0.883
N1 0.157 0.301 0.137
N2 0.157 0.699 0.637
N3 0.251 0.111 0.876
N4 0.251 0.889 0.376
N5 0.311 0.281 0.589
N6 0.311 0.719 0.089
N7 0.689 0.281 0.911
N8 0.689 0.719 0.411
N9 0.749 0.111 0.624
N10 0.749 0.889 0.124
N11 0.843 0.301 0.363
N12 0.843 0.699 0.863

=====

9.
The following is a computed XRD peak list of LiCN. It was derived from a crystal structure in the Materials Project, relaxed with GGA-PBE, using CuKα.
Peak positions follow from Bragg's law for the DFT cell and can differ from measured ones.

Most intense lines, 15° ≤ 2θ ≤ 90°, by angle:
- d 5.282, I = 82.5
- d 3.665, I = 77.1
- d 3.298, I = 8.7
- d 3.248, I = 100.0
- d 2.849, I = 28.6
- d 2.380, I = 19.0
- d 2.194, I = 8.1
- d 2.156, I = 20.6
- d 1.866, I = 11.9
- d 1.663, I = 7.7

Crystal structure
abc: 8.818 3.732 6.596
angles: 90.00 90.00 90.00
Fractional positions:
Li1 0.125 0.250 0.025
Li2 0.375 0.750 0.525
Li3 0.625 0.250 0.475
Li4 0.875 0.750 0.975
C1 0.193 0.750 0.738
C2 0.307 0.250 0.238
C3 0.693 0.750 0.762
C4 0.807 0.250 0.262
N1 0.094 0.750 0.858
N2 0.406 0.250 0.358
N3 0.594 0.750 0.642
N4 0.906 0.250 0.142

=====

10.
The following is a computed XRD peak list of LiCNO. It was derived from a crystal structure in the Materials Project, relaxed with GGA-PBE, using CuKα.
Peak positions follow from Bragg's law for the DFT cell and can differ from measured ones.

Most intense lines, 15° ≤ 2θ ≤ 90°, by angle:
- d 4.762, I = 5.5
- d 2.793, I = 100.0
- d 2.645, I = 76.5
- d 2.381, I = 4.0
- d 2.017, I = 14.5
- d 1.659, I = 6.0
- d 1.644, I = 27.5
- d 1.417, I = 5.6
- d 1.396, I = 6.2
- d 1.277, I = 4.8

Crystal structure
abc: 3.288 3.288 14.286
angles: 90.00 90.00 120.00
Fractional positions:
Li1 0.000 0.000 0.000
Li2 0.333 0.667 0.667
Li3 0.667 0.333 0.333
C1 0.000 0.000 0.492
C2 0.333 0.667 0.159
C3 0.667 0.333 0.826
N1 0.000 0.000 0.409
N2 0.333 0.667 0.075
N3 0.667 0.333 0.742
O1 0.000 0.000 0.578
O2 0.333 0.667 0.245
O3 0.667 0.333 0.911

=====

11.
The following is a computed XRD peak list of LiYC2N4. It was derived from a crystal structure in the Materials Project, relaxed with GGA-PBE, using CuKα.
Peak positions follow from Bragg's law for the DFT cell and can differ from measured ones.

Most intense lines, 15° ≤ 2θ ≤ 90°, by angle:
- d 5.759, I = 68.4
- d 4.932, I = 38.7
- d 4.226, I = 100.0
- d 2.941, I = 24.2
- d 2.737, I = 17.4
- d 2.690, I = 26.6
- d 2.631, I = 34.9
- d 2.613, I = 66.0
- d 1.925, I = 28.1
- d 1.790, I = 23.1

Crystal structure
abc: 9.864 7.094 6.222
angles: 90.00 90.00 90.00
Fractional positions:
Li1 0.000 0.113 0.250
Li2 0.000 0.887 0.750
Li3 0.500 0.387 0.750
Li4 0.500 0.613 0.250
Y1 0.000 0.361 0.750
Y2 0.000 0.639 0.250
Y3 0.500 0.139 0.250
Y4 0.500 0.861 0.750
C1 0.250 0.114 0.582
C2 0.250 0.386 0.082
C3 0.250 0.614 0.582
C4 0.250 0.886 0.082
C5 0.750 0.114 0.918
C6 0.750 0.386 0.418
C7 0.750 0.614 0.918
C8 0.750 0.886 0.418
N1 0.124 0.394 0.072
N2 0.124 0.606 0.572
N3 0.126 0.120 0.592
N4 0.126 0.880 0.092
N5 0.374 0.380 0.092
N6 0.374 0.620 0.592
N7 0.376 0.106 0.572
N8 0.376 0.894 0.072
N9 0.624 0.106 0.928
N10 0.624 0.894 0.428
N11 0.626 0.380 0.408
N12 0.626 0.620 0.908
N13 0.874 0.120 0.908
N14 0.874 0.880 0.408
N15 0.876 0.394 0.428
N16 0.876 0.606 0.928